# MnCdAuO4
Calculated XRD peak list, a wavelength of 1.5418 Å. Input: a structure optimized by DFT (PBE+U).

Atomic structure:
Cell: 5.8353 6.1113 11.1426 Å, 90.00 90.00 90.00°
Space group Imma (No. 74)
One atom of each set of equivalent atoms:
Mn: 0.2500 0.2500 0.2500 x4
Cd: 0.0000 0.2500 0.6259 x4
Au: 0.0000 0.0000 0.0000 x4
O: 0.0000 0.0394 0.2601 x8
O: 0.2294 0.2500 0.0252 x8

Peak list (6 most intense, 2θ = 10–80°, in order of rising 2θ)
- hkl 0 0 2, 2θ = 15.9°, 5.571 Å, rel. 38
- hkl 1 0 1, 2θ = 17.2°, 5.169 Å, rel. 48
- hkl 1 1 2, 2θ = 26.5°, 3.364 Å, rel. 35
- hkl 1 0 3, 2θ = 28.5°, 3.133 Å, rel. 91
- hkl 1 2 1, 2θ = 34.1°, 2.630 Å, rel. 100
- hkl 2 2 4, 2θ = 54.6°, 1.682 Å, rel. 59